# 1
NaH3Pd: computed XRD peak list (Cu Ka), based on DFT lattice parameters and positions (GGA-PBE).
Lines closer than 0.1° are merged.

Structural model:
a b c (Å): 6.592 4.887 6.675
angles (deg): 90.00 114.80 90.00
Sites, in units of the cell vectors:
Na 0.122 0.250 0.146
Na 0.122 0.250 0.646
Na 0.878 0.750 0.354
Na 0.878 0.750 0.854
H 0.125 0.704 0.209
H 0.125 0.796 0.709
H 0.346 0.070 0.472
H 0.346 0.430 0.972
H 0.425 0.575 0.617
H 0.425 0.925 0.117
H 0.575 0.075 0.883
H 0.575 0.425 0.383
H 0.654 0.570 0.028
H 0.654 0.930 0.528
H 0.875 0.204 0.291
H 0.875 0.296 0.791
Pd 0.411 0.741 0.867
Pd 0.411 0.759 0.367
Pd 0.589 0.241 0.633
Pd 0.589 0.259 0.133

Largest 8 diffraction maxima, low angle first, 2θ = 10–80°:
Position (°2θ)  I (rel.)
14.80  100
23.50  20
32.03  35
32.59  30
34.84  71
35.17  60
36.78  31
49.56  20

---

# 2
Pm2DyEr5In: computed XRD peak list (Cu Ka), based on DFT lattice parameters and positions (GGA-PBE).
Lines closer than 0.1° are merged.

Structural model:
a b c (Å): 10.441 10.441 10.446
angles (deg): 90.00 90.00 150.43
Sites, in units of the cell vectors:
Pm 0.116 0.884 0.540
Pm 0.116 0.884 0.960
Pm 0.884 0.116 0.040
Pm 0.884 0.116 0.460
Dy 0.209 0.791 0.250
Dy 0.791 0.209 0.750
Er 0.011 0.989 0.250
Er 0.289 0.711 0.552
Er 0.289 0.711 0.948
Er 0.384 0.616 0.250
Er 0.500 0.500 0.000
Er 0.500 0.500 0.500
Er 0.616 0.384 0.750
Er 0.711 0.289 0.052
Er 0.711 0.289 0.448
Er 0.989 0.011 0.750
In 0.404 0.596 0.750
In 0.596 0.404 0.250

Largest 8 diffraction maxima, low angle first, 2θ = 10–80°:
Position (°2θ)  I (rel.)
27.85  13
31.00  29
32.68  100
33.63  31
34.34  16
48.83  12
57.27  11
59.54  27

---

# 3
Nd8TcAg2: computed XRD peak list (Cu Ka), based on DFT lattice parameters and positions (GGA-PBE).
Lines closer than 0.1° are merged.

Structural model:
a b c (Å): 8.992 8.992 6.398
angles (deg): 105.75 105.75 125.91
Sites, in units of the cell vectors:
Nd 0.000 0.000 0.000
Nd 0.166 0.926 0.573
Nd 0.399 0.623 0.238
Nd 0.451 0.451 0.673
Nd 0.533 0.915 0.898
Nd 0.623 0.399 0.238
Nd 0.915 0.533 0.898
Nd 0.926 0.166 0.573
Tc 0.778 0.778 0.182
Ag 0.034 0.454 0.354
Ag 0.454 0.034 0.354

Largest 8 diffraction maxima, low angle first, 2θ = 10–80°:
Position (°2θ)  I (rel.)
28.29  28
29.40  77
31.29  42
31.40  100
32.50  77
34.99  40
37.72  25
53.62  24

---

# 4
Tb4PbS2N: computed XRD peak list (Cu Ka), based on DFT lattice parameters and positions (GGA-PBE).
Lines closer than 0.1° are merged.

Structural model:
a b c (Å): 7.128 7.128 7.985
angles (deg): 90.00 90.00 90.00
Sites, in units of the cell vectors:
Tb 0.183 0.183 0.165
Tb 0.183 0.817 0.835
Tb 0.317 0.317 0.665
Tb 0.317 0.683 0.335
Tb 0.683 0.317 0.335
Tb 0.683 0.683 0.665
Tb 0.817 0.183 0.835
Tb 0.817 0.817 0.165
Pb 0.000 0.000 0.500
Pb 0.500 0.500 0.000
S 0.000 0.500 0.250
S 0.000 0.500 0.750
S 0.500 0.000 0.250
S 0.500 0.000 0.750
N 0.000 0.000 0.000
N 0.500 0.500 0.500

Largest 8 diffraction maxima, low angle first, 2θ = 10–80°:
Position (°2θ)  I (rel.)
17.60  27
28.52  73
30.19  100
36.02  30
39.57  28
46.25  27
54.29  26
58.13  26

---

# 5
TiPdBr: computed XRD peak list (Cu Ka), based on DFT lattice parameters and positions (GGA-PBE).
Lines closer than 0.1° are merged.

Structural model:
a b c (Å): 12.192 3.332 5.770
angles (deg): 90.00 90.00 90.00
Sites, in units of the cell vectors:
Ti 0.146 0.000 0.000
Ti 0.146 0.500 0.500
Ti 0.854 0.000 0.000
Ti 0.854 0.500 0.500
Pd 0.000 0.000 0.333
Pd 0.000 0.500 0.833
Pd 0.500 0.000 0.332
Pd 0.500 0.500 0.832
Br 0.294 0.000 0.333
Br 0.294 0.500 0.833
Br 0.706 0.000 0.333
Br 0.706 0.500 0.833

Largest 8 diffraction maxima, low angle first, 2θ = 10–80°:
Position (°2θ)  I (rel.)
29.30  14
31.00  100
31.88  13
38.26  31
43.18  76
55.14  36
55.30  14
72.49  16

---

# 6
Ba6LiNb2IrCl2O12: computed XRD peak list (Cu Ka), based on DFT lattice parameters and positions (GGA-PBE).
Lines closer than 0.1° are merged.

Structural model:
a b c (Å): 6.305 6.305 15.034
angles (deg): 93.29 93.29 55.57
Sites, in units of the cell vectors:
Ba 0.000 0.000 0.000
Ba 0.013 0.013 0.715
Ba 0.310 0.310 0.585
Ba 0.346 0.346 0.846
Ba 0.366 0.366 0.266
Ba 0.958 0.958 0.445
Li 0.173 0.173 0.372
Nb 0.656 0.656 0.828
Nb 0.664 0.664 0.457
Ir 0.662 0.662 0.638
Cl 0.033 0.033 0.234
Cl 0.367 0.367 0.060
O 0.322 0.807 0.877
O 0.356 0.848 0.545
O 0.490 0.960 0.732
O 0.509 0.509 0.713
O 0.517 0.517 0.388
O 0.517 0.994 0.394
O 0.802 0.802 0.901
O 0.807 0.322 0.877
O 0.817 0.817 0.566
O 0.848 0.356 0.545
O 0.960 0.490 0.732
O 0.994 0.517 0.394

Largest 8 diffraction maxima, low angle first, 2θ = 10–80°:
Position (°2θ)  I (rel.)
17.35  22
25.08  23
28.45  100
28.93  54
29.57  22
30.41  51
40.46  28
52.84  21

---

# 7
Al3Ag2: computed XRD peak list (Cu Ka), based on DFT lattice parameters and positions (GGA-PBE).
Lines closer than 0.1° are merged.

Structural model:
a b c (Å): 6.551 6.551 9.162
angles (deg): 98.82 98.82 25.92
Sites, in units of the cell vectors:
Al 0.000 0.000 0.000
Al 0.099 0.099 0.303
Al 0.206 0.206 0.607
Al 0.398 0.398 0.203
Al 0.503 0.503 0.505
Al 0.698 0.698 0.100
Ag 0.303 0.303 0.914
Ag 0.601 0.601 0.801
Ag 0.797 0.797 0.394
Ag 0.901 0.901 0.697

Largest 8 diffraction maxima, low angle first, 2θ = 10–80°:
Position (°2θ)  I (rel.)
14.05  23
37.24  47
37.78  100
40.18  38
44.41  56
44.60  31
62.71  19
77.65  21

---

# 8
PuOsS: computed XRD peak list (Cu Ka), based on DFT lattice parameters and positions (GGA-PBE).
Lines closer than 0.1° are merged.

Structural model:
a b c (Å): 10.512 3.845 5.383
angles (deg): 90.00 90.00 90.00
Sites, in units of the cell vectors:
Pu 0.183 0.000 0.000
Pu 0.183 0.500 0.500
Pu 0.817 0.000 0.000
Pu 0.817 0.500 0.500
Os 0.000 0.000 0.501
Os 0.000 0.500 0.001
Os 0.500 0.000 0.968
Os 0.500 0.500 0.468
S 0.361 0.000 0.410
S 0.361 0.500 0.910
S 0.639 0.000 0.410
S 0.639 0.500 0.910

Largest 8 diffraction maxima, low angle first, 2θ = 10–80°:
Position (°2θ)  I (rel.)
25.42  14
28.53  24
33.30  56
38.58  100
47.29  15
59.05  15
63.03  21
63.34  9

---

# 9
Na3Dy4Te8: computed XRD peak list (Cu Ka), based on DFT lattice parameters and positions (GGA-PBE).
Lines closer than 0.1° are merged.

Structural model:
a b c (Å): 8.824 8.824 8.723
angles (deg): 119.15 119.15 90.79
Sites, in units of the cell vectors:
Na 0.000 0.000 0.000
Na 0.000 0.500 0.000
Na 0.500 0.000 0.000
Dy 0.000 0.500 0.500
Dy 0.500 0.000 0.500
Dy 0.500 0.500 0.000
Dy 0.500 0.500 0.500
Te 0.250 0.250 0.507
Te 0.253 0.747 0.500
Te 0.254 0.746 0.000
Te 0.263 0.263 0.015
Te 0.737 0.737 0.985
Te 0.746 0.254 0.000
Te 0.747 0.253 0.500
Te 0.750 0.750 0.493

Largest 8 diffraction maxima, low angle first, 2θ = 10–80°:
Position (°2θ)  I (rel.)
12.16  27
28.41  100
28.82  48
40.41  19
40.61  38
40.92  37
50.14  20
50.98  20

---

# 10
Ca4Bi2Se: computed XRD peak list (Cu Ka), based on DFT lattice parameters and positions (GGA-PBE).
Lines closer than 0.1° are merged.

Structural model:
a b c (Å): 5.356 5.356 16.770
angles (deg): 90.00 90.00 90.00
Sites, in units of the cell vectors:
Ca 0.000 0.000 0.178
Ca 0.000 0.000 0.822
Ca 0.000 0.500 0.000
Ca 0.000 0.500 0.500
Ca 0.500 0.000 0.000
Ca 0.500 0.000 0.500
Ca 0.500 0.500 0.322
Ca 0.500 0.500 0.678
Bi 0.000 0.000 0.366
Bi 0.000 0.000 0.634
Bi 0.500 0.500 0.134
Bi 0.500 0.500 0.866
Se 0.000 0.000 0.000
Se 0.500 0.500 0.500

Largest 8 diffraction maxima, low angle first, 2θ = 10–80°:
Position (°2θ)  I (rel.)
17.38  38
23.00  95
23.49  100
31.47  47
31.84  71
33.46  75
41.00  45
54.15  38

---

# 11
PaTlHgO4: computed XRD peak list (Cu Ka), based on DFT lattice parameters and positions (GGA-PBE).
Lines closer than 0.1° are merged.

Structural model:
a b c (Å): 7.509 7.509 7.509
angles (deg): 125.06 123.90 82.40
Sites, in units of the cell vectors:
Pa 0.000 0.000 0.000
Pa 0.500 0.000 0.500
Tl 0.410 0.660 0.750
Tl 0.590 0.340 0.250
Hg 0.000 0.000 0.500
Hg 0.000 0.500 0.000
O 0.151 0.194 0.957
O 0.262 0.201 0.439
O 0.262 0.823 0.061
O 0.263 0.806 0.457
O 0.737 0.194 0.543
O 0.738 0.177 0.939
O 0.738 0.799 0.561
O 0.849 0.806 0.043

Largest 8 diffraction maxima, low angle first, 2θ = 10–80°:
Position (°2θ)  I (rel.)
15.00  23
23.91  26
26.95  46
29.47  49
29.82  100
47.38  19
48.96  38
61.91  18

---

# 12
PmAgTe: computed XRD peak list (Cu Ka), based on DFT lattice parameters and positions (GGA-PBE).
Lines closer than 0.1° are merged.

Structural model:
a b c (Å): 5.189 5.189 6.731
angles (deg): 90.00 90.08 90.00
Sites, in units of the cell vectors:
Pm 0.250 0.250 0.000
Pm 0.750 0.750 0.000
Ag 0.250 0.750 0.292
Ag 0.750 0.250 0.708
Te 0.249 0.750 0.722
Te 0.751 0.250 0.278

Largest 8 diffraction maxima, low angle first, 2θ = 10–80°:
Position (°2θ)  I (rel.)
13.15  20
27.69  62
34.57  64
36.22  100
49.70  23
54.04  20
57.84  15
63.03  39